Record 1
Theoretical powder X-ray diffraction pattern
Compound: Cs3FeO3
Radiation: a wavelength of 1.5418 Å
Structure: a structure optimized by DFT (GGA+U)

Peak list (10 most intense, 2θ from 10° to 90°, by angle)
two_theta	I (rel.)
24.53	22
25.71	25
27.54	28
27.70	31
28.80	100
28.88	40
30.56	24
33.09	20
35.25	15
37.25	19

Cell and atoms:
```
data_Cs3FeO3
_chemical_formula_sum 'Cs12 Fe4 O12'
_cell_length_a 7.4071
_cell_length_b 12.3817
_cell_length_c 7.8493
_cell_angle_alpha 90.00
_cell_angle_beta 104.46
_cell_angle_gamma 90.00
_space_group_name_H-M_alt 'P 1 21/c 1'
_space_group_IT_number 14
_space_group_name_Hall '-P 2ybc'
loop_
_atom_site_label
_atom_site_type_symbol
_atom_site_fract_x
_atom_site_fract_y
_atom_site_fract_z
Cs1 Cs 0.0200 0.2434 0.4122
Cs2 Cs 0.3362 0.0083 0.6324
Cs3 Cs 0.4552 0.7066 0.4966
Fe1 Fe 0.1556 0.0080 0.1502
O1 O 0.1194 0.5322 0.3970
O2 O 0.2506 0.6111 0.7964
O3 O 0.2942 0.1342 0.2288
```



Record 2
Theoretical powder X-ray diffraction pattern
Compound: Cs5FeO4
Radiation: a wavelength of 1.5418 Å
Structure: a structure optimized by DFT (GGA+U)

Peak list (10 most intense, 2θ from 10° to 90°, by angle)
two_theta	I (rel.)
24.35	44
25.22	63
25.58	32
26.79	28
27.12	35
27.56	38
29.54	40
30.45	100
31.92	30
34.75	41

Cell and atoms:
```
data_Cs5FeO4
_chemical_formula_sum 'Cs20 Fe4 O16'
_cell_length_a 11.5497
_cell_length_b 13.0844
_cell_length_c 7.4184
_cell_angle_alpha 90.00
_cell_angle_beta 98.96
_cell_angle_gamma 90.00
_space_group_name_H-M_alt 'P 1 21/c 1'
_space_group_IT_number 14
_space_group_name_Hall '-P 2ybc'
loop_
_atom_site_label
_atom_site_type_symbol
_atom_site_fract_x
_atom_site_fract_y
_atom_site_fract_z
Cs1 Cs 0.0035 0.1350 0.4256
Cs2 Cs 0.1324 0.0705 0.9496
Cs3 Cs 0.2656 0.7024 0.5078
Cs4 Cs 0.3510 0.1748 0.6622
Cs5 Cs 0.4926 0.5746 0.2379
Fe1 Fe 0.2463 0.5315 0.8871
O1 O 0.1097 0.5939 0.7436
O2 O 0.2284 0.5323 0.1438
O3 O 0.2596 0.1110 0.3150
O4 O 0.3879 0.6059 0.8541
```



Record 3
Theoretical powder X-ray diffraction pattern
Compound: Cs5FeO4
Radiation: a wavelength of 1.5418 Å
Structure: a structure optimized by DFT (GGA+U)

Peak list (10 most intense, 2θ from 10° to 90°, by angle)
two_theta	I (rel.)
25.93	53
26.80	47
27.99	100
28.88	39
30.85	48
35.98	29
40.93	16
43.50	13
48.08	14
51.81	12

Cell and atoms:
```
data_Cs5FeO4
_chemical_formula_sum 'Cs20 Fe4 O16'
_cell_length_a 9.1105
_cell_length_b 10.8949
_cell_length_c 11.3200
_cell_angle_alpha 90.00
_cell_angle_beta 97.11
_cell_angle_gamma 90.00
_space_group_name_H-M_alt 'P 1 21/c 1'
_space_group_IT_number 14
_space_group_name_Hall '-P 2ybc'
loop_
_atom_site_label
_atom_site_type_symbol
_atom_site_fract_x
_atom_site_fract_y
_atom_site_fract_z
Cs1 Cs 0.0438 0.1702 0.0305
Cs2 Cs 0.1069 0.0088 0.3593
Cs3 Cs 0.2676 0.6480 0.2394
Cs4 Cs 0.3984 0.5284 0.6387
Cs5 Cs 0.4349 0.1910 0.5221
Fe1 Fe 0.2207 0.1674 0.7677
O1 O 0.0264 0.2312 0.7840
O2 O 0.2056 0.0718 0.6208
O3 O 0.2889 0.0620 0.9033
O4 O 0.3616 0.2021 0.2557
```



Record 4
Theoretical powder X-ray diffraction pattern
Compound: CsFe3P3O14
Radiation: a wavelength of 1.5418 Å
Structure: a structure optimized by DFT (GGA+U)

Peak list (10 most intense, 2θ from 10° to 90°, by angle)
two_theta	I (rel.)
16.17	32
20.40	42
21.10	22
25.60	100
26.78	41
27.96	25
28.11	57
29.23	77
32.07	23
34.06	33

Cell and atoms:
```
data_CsFe3P3O14
_chemical_formula_sum 'Cs4 Fe12 P12 O56'
_cell_length_a 13.4004
_cell_length_b 10.8563
_cell_length_c 9.1406
_cell_angle_alpha 90.00
_cell_angle_beta 107.73
_cell_angle_gamma 90.00
_space_group_name_H-M_alt 'C 1 2/c 1'
_space_group_IT_number 15
_space_group_name_Hall '-C 2yc'
loop_
_atom_site_label
_atom_site_type_symbol
_atom_site_fract_x
_atom_site_fract_y
_atom_site_fract_z
Cs1 Cs 0.0000 0.1443 0.2500
Fe1 Fe 0.0000 0.2336 0.7500
Fe2 Fe 0.1794 0.4252 0.5730
P1 P 0.0000 0.4909 0.7500
P2 P 0.2081 0.1330 0.6758
O1 O 0.0625 0.4262 0.3826
O2 O 0.0703 0.3966 0.6949
O3 O 0.0946 0.1205 0.6868
O4 O 0.1034 0.2150 0.9639
O5 O 0.2121 0.0602 0.5321
O6 O 0.2143 0.4217 0.1778
O7 O 0.2376 0.2696 0.6615
```



Record 5
Theoretical powder X-ray diffraction pattern
Compound: Cs4Rb2Fe2O5
Radiation: a wavelength of 1.5418 Å
Structure: a structure optimized by DFT (GGA+U)

Peak list (10 most intense, 2θ from 10° to 90°, by angle)
two_theta	I (rel.)
27.58	30
27.95	21
28.20	80
28.38	100
28.84	56
31.38	25
33.52	21
35.65	34
46.48	22
51.81	20

Cell and atoms:
```
data_Cs4Rb2Fe2O5
_chemical_formula_sum 'Cs8 Rb4 Fe4 O10'
_cell_length_a 7.3775
_cell_length_b 12.3830
_cell_length_c 7.3138
_cell_angle_alpha 90.00
_cell_angle_beta 93.41
_cell_angle_gamma 90.00
_space_group_name_H-M_alt 'C 1 2/m 1'
_space_group_IT_number 12
_space_group_name_Hall '-C 2y'
loop_
_atom_site_label
_atom_site_type_symbol
_atom_site_fract_x
_atom_site_fract_y
_atom_site_fract_z
Cs1 Cs 0.0000 0.2436 0.0000
Cs2 Cs 0.1576 0.5000 0.3137
Rb1 Rb 0.0000 0.2197 0.5000
Fe1 Fe 0.1932 0.0000 0.1921
O1 O 0.0000 0.0000 0.0000
O2 O 0.2091 0.3669 0.7160
```